(1)
Structure and theoretical X-ray powder pattern of Ca2Zn2GaNi5 (the GGA-PBE geometry in Alexandria; λ = 1.5418 Å (Cu Kα)).
Neutral-atom scattering factors, no anomalous dispersion.

Principal peaks in the range 5 to 70 degrees two-theta, sorted by position:
d 4.756, 2θ = 18.66°, intensity 10; d 4.254, 2θ = 20.88°, intensity 17; d 2.383, 2θ = 37.75°, intensity 16; d 2.307, 2θ = 39.04°, intensity 24; d 2.246, 2θ = 40.16°, intensity 100; d 2.127, 2θ = 42.50°, intensity 8; d 2.079, 2θ = 43.53°, intensity 32; d 1.944, 2θ = 46.72°, intensity 9; d 1.866, 2θ = 48.80°, intensity 7; d 1.688, 2θ = 54.34°, intensity 15; d 1.419, 2θ = 65.84°, intensity 10; d 1.362, 2θ = 68.92°, intensity 8

Structure:
```
data_Ca2Zn2GaNi5
_chemical_formula_sum 'Ca4 Zn4 Ga2 Ni10'
_cell_length_a 9.5121
_cell_length_b 9.5121
_cell_length_c 3.3766
_cell_angle_alpha 90.00
_cell_angle_beta 90.00
_cell_angle_gamma 90.00
_symmetry_space_group_name_H-M 'P 1'
_symmetry_Int_Tables_number 1
loop_
_symmetry_equiv_pos_as_xyz
'x,y,z'
loop_
_atom_site_label
_atom_site_type_symbol
_atom_site_fract_x
_atom_site_fract_y
_atom_site_fract_z
Ca1 Ca 0.1743 0.3257 0.0000
Ca2 Ca 0.3257 0.8257 0.0000
Ca3 Ca 0.6743 0.1743 0.0000
Ca4 Ca 0.8257 0.6743 0.0000
Zn1 Zn 0.1253 0.6253 0.0000
Zn2 Zn 0.3747 0.1253 0.0000
Zn3 Zn 0.6253 0.8747 0.0000
Zn4 Zn 0.8747 0.3747 0.0000
Ga1 Ga 0.0000 0.0000 0.0000
Ga2 Ga 0.5000 0.5000 0.0000
Ni1 Ni 0.0000 0.5000 0.5000
Ni2 Ni 0.0585 0.8069 0.5000
Ni3 Ni 0.1931 0.0585 0.5000
Ni4 Ni 0.3069 0.5585 0.5000
Ni5 Ni 0.4415 0.3069 0.5000
Ni6 Ni 0.5000 0.0000 0.5000
Ni7 Ni 0.5585 0.6931 0.5000
Ni8 Ni 0.6931 0.4415 0.5000
Ni9 Ni 0.8069 0.9415 0.5000
Ni10 Ni 0.9415 0.1931 0.5000
```

***

(2)
Structure and theoretical X-ray powder pattern of La4Nd4Sm (the GGA-PBE geometry in Alexandria; λ = 1.5418 Å (Cu Kα)).
Neutral-atom scattering factors, no anomalous dispersion.

Principal peaks in the range 5 to 70 degrees two-theta, sorted by position:
d 3.022, 2θ = 29.56°, intensity 100; d 2.630, 2θ = 34.09°, intensity 17; d 2.611, 2θ = 34.34°, intensity 34; d 1.853, 2θ = 49.17°, intensity 24; d 1.846, 2θ = 49.35°, intensity 12; d 1.584, 2θ = 58.25°, intensity 15; d 1.576, 2θ = 58.58°, intensity 29; d 1.511, 2θ = 61.35°, intensity 13

Structure:
```
data_La4Nd4Sm
_chemical_formula_sum 'La4 Nd4 Sm1'
_cell_length_a 8.2636
_cell_length_b 8.2636
_cell_length_c 8.2636
_cell_angle_alpha 95.81
_cell_angle_beta 95.81
_cell_angle_gamma 142.89
_symmetry_space_group_name_H-M 'P 1'
_symmetry_Int_Tables_number 1
loop_
_symmetry_equiv_pos_as_xyz
'x,y,z'
loop_
_atom_site_label
_atom_site_type_symbol
_atom_site_fract_x
_atom_site_fract_y
_atom_site_fract_z
La1 La 0.1666 0.1666 0.3332
La2 La 0.1666 0.8334 0.0000
La3 La 0.8334 0.1666 0.0000
La4 La 0.8334 0.8334 0.6668
Nd1 Nd 0.1662 0.5000 0.6662
Nd2 Nd 0.5000 0.1662 0.6662
Nd3 Nd 0.5000 0.8338 0.3338
Nd4 Nd 0.8338 0.5000 0.3338
Sm1 Sm 0.5000 0.5000 0.0000
```